This entry pairs a crystal structure of Mn2ZnFeO4 with its calculated powder diffraction line list. Radiation: Cu Kα. Structure: a GGA+U-relaxed structure.
Neutral-atom scattering factors, no anomalous dispersion.

Most intense lines, 2θ = 10–80°, sorted by position:
2θ (°)	intensity	(hkl)
34.93	52	2 0 0
35.07	51	2 0 -2
40.35	52	0 0 2
40.78	100	2 2 -2
58.52	15	2 2 0
58.70	30	2 -2 2
58.91	15	2 2 -4
59.04	29	4 0 -2
70.42	14	4 2 -2
73.77	14	4 0 0

```
Mn2ZnFeO4
1.0
6.259 0.000 0.000
-0.003 6.259 0.000
-3.104 -3.115 4.471
Mn Zn Fe O
4 2 2 8
Cartesian
0.000 0.000 0.000
-1.552 -1.557 2.235
-0.002 3.129 0.000
1.577 -1.557 2.235
-1.554 1.572 2.235
3.128 3.129 0.000
3.129 0.000 0.000
1.576 1.572 2.235
-0.021 3.129 2.225
-1.532 1.552 4.443
-1.475 -1.588 4.458
0.056 0.070 2.251
3.095 3.074 2.220
4.626 4.732 0.012
4.683 1.592 0.027
3.173 0.015 2.246
```